Simulated PXRD pattern
Compound: AgMoN
Radiation: Cu Kα (weighted mean of Kα1 and Kα2)
Structure: a structure optimized by DFT (PBE)

Peak list (10 most intense, 2θ = 10–80°, in order of rising 2θ)
h k l, 2theta, Rel. int.
0 0 2, 17.62, 24
1 0 1, 31.61, 74
0 0 4, 35.68, 34
1 0 3, 40.73, 100
1 1 0, 43.39, 57
1 1 4, 57.38, 32
2 0 0, 63.03, 18
1 1 6, 72.26, 26
1 0 7, 73.24, 17
2 1 3, 77.80, 29

Structure:
```
data_AgMoN
_cell_length_a 2.950
_cell_length_b 2.950
_cell_length_c 10.065
_cell_angle_alpha 90.00
_cell_angle_beta 90.00
_cell_angle_gamma 90.00
_symmetry_space_group_name_H-M 'P 1'
_symmetry_Int_Tables_number 1
_symmetry_space_group_name_Hall 'P 1'
loop_
_atom_site_label
_atom_site_fract_x
_atom_site_fract_y
_atom_site_fract_z
Ag1 0.250 0.250 0.104
Ag2 0.750 0.750 0.896
Mo1 0.250 0.250 0.403
Mo2 0.750 0.750 0.597
N1 0.250 0.250 0.626
N2 0.750 0.750 0.374
```